No. 1
# Tb8Tl2C3
Theoretical powder diffractogram, a wavelength of 1.5418 Å. Input: the GGA-PBE geometry in Alexandria.
Peak positions follow from Bragg's law for the DFT cell and can differ from measured ones.

Structural model:
Cell: 15.2163 7.2603 6.3977 Å, 90.00 105.72 90.00°
Space group C2/m (No. 12)
Inequivalent atoms, fractional coordinates:
Tb1 0.0879 0.2418 0.3850 (multiplicity 8)
Tb2 0.0974 0.0000 0.8940 (multiplicity 4)
Tb3 0.1057 0.5000 0.9525 (multiplicity 4)
Tl1 0.2440 0.5000 0.6539 (multiplicity 4)
C1 0.0000 0.0000 0.5000 (multiplicity 2)
C2 0.0000 0.2548 0.0000 (multiplicity 4)

Principal peaks in the range 10 to 80 degrees two-theta, by angle:
2θ 21.0, rel. 205, hkl 1 1 1
2θ 27.4, rel. 235, hkl 2 2 0
2θ 28.5, rel. 474, hkl 0 2 1
2θ 30.6, rel. 232, hkl 1 1 -2
2θ 32.5, rel. 574, hkl 4 0 -2
2θ 32.6, rel. 877, hkl 2 2 1
2θ 34.5, rel. 415, hkl 2 0 2
2θ 35.1, rel. 1000, hkl 4 2 -1
2θ 36.8, rel. 449, hkl 6 0 0
2θ 49.6, rel. 435, hkl 2 2 -3
2θ 50.3, rel. 297, hkl 0 4 0
2θ 63.6, rel. 228, hkl 8 2 -3


No. 2
# Tb6ZnC3
Theoretical powder diffractogram, a wavelength of 1.5418 Å. Input: the GGA-PBE geometry in Alexandria.
Peak positions follow from Bragg's law for the DFT cell and can differ from measured ones.

Structural model:
Cell: 10.8175 3.6298 11.2900 Å, 90.00 103.15 90.00°
Space group P2_1/m (No. 11)
Inequivalent atoms, fractional coordinates:
Tb1 0.0226 0.2500 0.1299 (multiplicity 2)
Tb2 0.1136 0.7500 0.4512 (multiplicity 2)
Tb3 0.1786 0.2500 0.7464 (multiplicity 2)
Tb4 0.2933 0.7500 0.0187 (multiplicity 2)
Tb5 0.3056 0.2500 0.2979 (multiplicity 2)
Tb6 0.4278 0.2500 0.5969 (multiplicity 2)
Zn1 0.4642 0.7500 0.8332 (multiplicity 2)
C1 0.0296 0.7500 0.6508 (multiplicity 2)
C2 0.1385 0.2500 0.9518 (multiplicity 2)
C3 0.3542 0.7500 0.4449 (multiplicity 2)

Principal peaks in the range 10 to 80 degrees two-theta, by angle:
2θ 29.5, rel. 182, hkl 0 1 2
2θ 29.6, rel. 446, hkl 1 1 -2
2θ 29.9, rel. 151, hkl 2 1 -1
2θ 31.7, rel. 251, hkl 1 1 2
2θ 32.0, rel. 366, hkl 2 1 1
2θ 32.2, rel. 370, hkl 2 1 -2
2θ 32.8, rel. 406, hkl 2 0 3
2θ 33.1, rel. 1000, hkl 2 0 -4
2θ 37.9, rel. 254, hkl 3 1 1
2θ 48.4, rel. 170, hkl 0 1 5
2θ 50.3, rel. 209, hkl 0 2 0
2θ 61.5, rel. 337, hkl 2 2 -4


No. 3
# Tc4C3
Theoretical powder diffractogram, a wavelength of 1.5418 Å. Input: the GGA-PBE geometry in Alexandria.
Peak positions follow from Bragg's law for the DFT cell and can differ from measured ones.

Structural model:
Cell: 4.2550 4.2550 4.2550 Å, 90.00 90.00 90.00°
Space group Pm-3m (No. 221)
Inequivalent atoms, fractional coordinates:
Tc1 0.0000 0.0000 0.0000 (multiplicity 1)
Tc2 0.0000 0.5000 0.5000 (multiplicity 3)
C1 0.0000 0.0000 0.5000 (multiplicity 3)

Principal peaks in the range 10 to 80 degrees two-theta, by angle:
2θ 36.6, rel. 1000, hkl 1 1 1
2θ 42.5, rel. 661, hkl 2 0 0
2θ 61.7, rel. 417, hkl 2 2 0
2θ 73.9, rel. 380, hkl 3 1 1
2θ 77.8, rel. 138, hkl 2 2 2


No. 4
# Tc3C4
Theoretical powder diffractogram, a wavelength of 1.5418 Å. Input: the GGA-PBE geometry in Alexandria.
Peak positions follow from Bragg's law for the DFT cell and can differ from measured ones.

Structural model:
Cell: 4.2287 4.2287 4.2287 Å, 90.00 90.00 90.00°
Space group Pm-3m (No. 221)
Inequivalent atoms, fractional coordinates:
Tc1 0.0000 0.0000 0.5000 (multiplicity 3)
C1 0.0000 0.0000 0.0000 (multiplicity 1)
C2 0.0000 0.5000 0.5000 (multiplicity 3)

Principal peaks in the range 10 to 80 degrees two-theta, by angle:
2θ 21.0, rel. 485, hkl 1 0 0
2θ 29.9, rel. 397, hkl 1 1 0
2θ 36.8, rel. 1000, hkl 1 1 1
2θ 42.8, rel. 836, hkl 2 0 0
2θ 48.1, rel. 206, hkl 2 1 0
2θ 53.0, rel. 153, hkl 2 1 1
2θ 62.1, rel. 519, hkl 2 2 0
2θ 66.3, rel. 96, hkl 3 0 0
2θ 70.4, rel. 64, hkl 3 1 0
2θ 74.4, rel. 393, hkl 3 1 1
2θ 78.3, rel. 171, hkl 2 2 2


No. 5
# Tc5C3
Theoretical powder diffractogram, a wavelength of 1.5418 Å. Input: the GGA-PBE geometry in Alexandria.
Peak positions follow from Bragg's law for the DFT cell and can differ from measured ones.

Structural model:
Cell: 6.1719 6.1719 5.3759 Å, 90.00 90.00 120.00°
Space group P6_3/mcm (No. 193)
Inequivalent atoms, fractional coordinates:
Tc1 0.0000 0.2437 0.2500 (multiplicity 6)
Tc2 0.3333 0.6667 0.0000 (multiplicity 4)
C1 0.0000 0.4058 0.7500 (multiplicity 6)

Principal peaks in the range 10 to 80 degrees two-theta, by angle:
2θ 28.9, rel. 144, hkl 1 1 0
2θ 33.5, rel. 1000, hkl 2 0 0
2θ 37.5, rel. 656, hkl 1 0 2
2θ 44.7, rel. 899, hkl 1 1 2
2θ 44.9, rel. 424, hkl 2 1 0
2θ 48.1, rel. 753, hkl 2 1 1
2θ 51.3, rel. 269, hkl 3 0 0
2θ 59.7, rel. 124, hkl 1 1 3
2θ 70.0, rel. 113, hkl 0 0 4
2θ 70.2, rel. 231, hkl 2 1 3
2θ 70.4, rel. 219, hkl 2 2 2
2θ 72.9, rel. 143, hkl 3 1 2


No. 6
# TcC2
Theoretical powder diffractogram, a wavelength of 1.5418 Å. Input: the GGA-PBE geometry in Alexandria.
Peak positions follow from Bragg's law for the DFT cell and can differ from measured ones.

Structural model:
Cell: 2.8720 2.8720 4.0343 Å, 90.00 90.00 120.00°
Space group P-6m2 (No. 187)
Inequivalent atoms, fractional coordinates:
Tc1 0.0000 0.0000 0.0000 (multiplicity 1)
C1 0.6667 0.3333 0.3299 (multiplicity 2)

Principal peaks in the range 10 to 80 degrees two-theta, by angle:
2θ 22.0, rel. 693, hkl 0 0 1
2θ 36.1, rel. 612, hkl 1 0 0
2θ 42.7, rel. 1000, hkl 1 0 1
2θ 44.9, rel. 105, hkl 0 0 2
2θ 59.0, rel. 375, hkl 1 0 2
2θ 64.9, rel. 170, hkl 1 1 0
2θ 69.5, rel. 176, hkl 1 1 1
2θ 70.0, rel. 45, hkl 0 0 3
2θ 76.6, rel. 67, hkl 2 0 0


No. 7
# Tc4C
Theoretical powder diffractogram, a wavelength of 1.5418 Å. Input: the GGA-PBE geometry in Alexandria.
Peak positions follow from Bragg's law for the DFT cell and can differ from measured ones.

Structural model:
Cell: 4.0468 4.0468 4.0468 Å, 90.00 90.00 90.00°
Space group Pm-3m (No. 221)
Inequivalent atoms, fractional coordinates:
Tc1 0.0000 0.0000 0.0000 (multiplicity 1)
Tc2 0.0000 0.5000 0.5000 (multiplicity 3)
C1 0.5000 0.5000 0.5000 (multiplicity 1)

Principal peaks in the range 10 to 80 degrees two-theta, by angle:
2θ 38.5, rel. 1000, hkl 1 1 1
2θ 44.8, rel. 535, hkl 2 0 0
2θ 65.2, rel. 336, hkl 2 2 0
2θ 78.4, rel. 362, hkl 3 1 1


No. 8
# Th2UTcC4
Theoretical powder diffractogram, a wavelength of 1.5418 Å. Input: the GGA-PBE geometry in Alexandria.
Peak positions follow from Bragg's law for the DFT cell and can differ from measured ones.

Structural model:
Cell: 3.5227 11.9668 12.5080 Å, 90.00 90.00 90.00°
Space group Cmcm (No. 63)
Inequivalent atoms, fractional coordinates:
Th1 0.0000 0.1355 0.0434 (multiplicity 8)
U1 0.0000 0.3919 0.2500 (multiplicity 4)
Tc1 0.0000 0.3456 0.7500 (multiplicity 4)
C1 0.0000 0.0604 0.2500 (multiplicity 4)
C2 0.0000 0.2186 0.6449 (multiplicity 8)
C3 0.0000 0.5000 0.0000 (multiplicity 4)

Principal peaks in the range 10 to 80 degrees two-theta, by angle:
2θ 26.0, rel. 638, hkl 0 2 3
2θ 28.5, rel. 385, hkl 0 0 4
2θ 29.9, rel. 557, hkl 0 4 0
2θ 30.1, rel. 1000, hkl 1 1 2
2θ 34.7, rel. 235, hkl 1 3 1
2θ 37.0, rel. 773, hkl 1 3 2
2θ 41.8, rel. 226, hkl 0 4 4
2θ 45.1, rel. 267, hkl 1 1 5
2θ 48.2, rel. 192, hkl 1 5 2
2θ 50.2, rel. 201, hkl 1 3 5
2θ 51.9, rel. 172, hkl 2 0 0
2θ 53.5, rel. 193, hkl 0 2 7


No. 9
# UTc2C
Theoretical powder diffractogram, a wavelength of 1.5418 Å. Input: the GGA-PBE geometry in Alexandria.
Peak positions follow from Bragg's law for the DFT cell and can differ from measured ones.

Structural model:
Cell: 3.0456 7.4231 5.2346 Å, 90.00 106.88 90.00°
Space group P2_1/m (No. 11)
Inequivalent atoms, fractional coordinates:
U1 0.0608 0.2500 0.1204 (multiplicity 2)
Tc1 0.3519 0.0562 0.7046 (multiplicity 4)
C1 0.2190 0.7500 0.4373 (multiplicity 2)

Principal peaks in the range 10 to 80 degrees two-theta, by angle:
2θ 17.7, rel. 168, hkl 0 0 1
2θ 21.4, rel. 166, hkl 0 1 1
2θ 30.0, rel. 433, hkl 0 2 1
2θ 33.0, rel. 286, hkl 1 1 0
2θ 37.9, rel. 439, hkl 0 1 2
2θ 39.3, rel. 1000, hkl 1 2 -1
2θ 40.1, rel. 395, hkl 1 0 -2
2θ 40.7, rel. 501, hkl 0 3 1
2θ 42.0, rel. 511, hkl 1 1 1
2θ 60.8, rel. 248, hkl 2 0 -1
2θ 67.6, rel. 330, hkl 1 3 -3
2θ 75.8, rel. 164, hkl 2 3 0


No. 10
# Y2UTcC4
Theoretical powder diffractogram, a wavelength of 1.5418 Å. Input: the GGA-PBE geometry in Alexandria.
Peak positions follow from Bragg's law for the DFT cell and can differ from measured ones.

Structural model:
Cell: 3.4317 11.7925 12.1497 Å, 90.00 90.00 90.00°
Space group Cmcm (No. 63)
Inequivalent atoms, fractional coordinates:
Y1 0.0000 0.1310 0.0415 (multiplicity 8)
U1 0.0000 0.4022 0.2500 (multiplicity 4)
Tc1 0.0000 0.3369 0.7500 (multiplicity 4)
C1 0.0000 0.0595 0.2500 (multiplicity 4)
C2 0.0000 0.2266 0.6362 (multiplicity 8)
C3 0.0000 0.5000 0.0000 (multiplicity 4)

Principal peaks in the range 10 to 80 degrees two-theta, by angle:
2θ 14.6, rel. 402, hkl 0 0 2
2θ 26.7, rel. 397, hkl 0 2 3
2θ 29.4, rel. 481, hkl 0 0 4
2θ 30.3, rel. 369, hkl 0 4 0
2θ 30.9, rel. 1000, hkl 1 1 2
2θ 31.2, rel. 210, hkl 0 4 1
2θ 35.5, rel. 466, hkl 1 3 1
2θ 37.8, rel. 609, hkl 1 3 2
2θ 42.7, rel. 215, hkl 0 4 4
2θ 49.2, rel. 213, hkl 1 5 2
2θ 51.6, rel. 294, hkl 1 3 5
2θ 53.4, rel. 151, hkl 2 0 0


No. 11
# ZrTcC
Theoretical powder diffractogram, a wavelength of 1.5418 Å. Input: the GGA-PBE geometry in Alexandria.
Peak positions follow from Bragg's law for the DFT cell and can differ from measured ones.

Structural model:
Cell: 6.8363 3.1560 11.1165 Å, 90.00 92.00 90.00°
Space group P2_1/m (No. 11)
Inequivalent atoms, fractional coordinates:
Zr1 0.0128 0.2500 0.2050 (multiplicity 2)
Zr2 0.3517 0.7500 0.5896 (multiplicity 2)
Zr3 0.4621 0.7500 0.8682 (multiplicity 2)
Tc1 0.0118 0.2500 0.5902 (multiplicity 2)
Tc2 0.1847 0.2500 0.9800 (multiplicity 2)
Tc3 0.3280 0.7500 0.3074 (multiplicity 2)
C1 0.2428 0.2500 0.7502 (multiplicity 2)
C2 0.2528 0.7500 0.1114 (multiplicity 2)
C3 0.2706 0.2500 0.4323 (multiplicity 2)

Principal peaks in the range 10 to 80 degrees two-theta, by angle:
2θ 32.2, rel. 372, hkl 1 1 -1
2θ 32.6, rel. 330, hkl 0 1 2
2θ 36.4, rel. 447, hkl 2 0 3
2θ 38.8, rel. 688, hkl 2 1 0
2θ 39.5, rel. 1000, hkl 1 1 -3
2θ 40.1, rel. 970, hkl 3 0 -1
2θ 41.2, rel. 355, hkl 2 0 -4
2θ 42.6, rel. 405, hkl 2 1 2
2θ 43.3, rel. 303, hkl 1 0 5
2θ 43.4, rel. 393, hkl 0 1 4
2θ 45.7, rel. 282, hkl 2 1 -3
2θ 58.5, rel. 368, hkl 0 2 0


No. 12
# Te4C3
Theoretical powder diffractogram, a wavelength of 1.5418 Å. Input: the GGA-PBE geometry in Alexandria.
Peak positions follow from Bragg's law for the DFT cell and can differ from measured ones.

Structural model:
Cell: 5.2872 5.2872 5.2872 Å, 90.00 90.00 90.00°
Space group P-43m (No. 215)
Inequivalent atoms, fractional coordinates:
Te1 0.2406 0.2406 0.7594 (multiplicity 4)
C1 0.0000 0.5000 0.5000 (multiplicity 3)

Principal peaks in the range 10 to 80 degrees two-theta, by angle:
2θ 29.3, rel. 1000, hkl 1 1 1
2θ 33.9, rel. 438, hkl 2 0 0
2θ 38.1, rel. 9, hkl 2 1 0
2θ 41.9, rel. 16, hkl 2 1 1
2θ 48.7, rel. 394, hkl 2 2 0
2θ 57.8, rel. 418, hkl 3 1 1
2θ 60.7, rel. 108, hkl 2 2 2
2θ 63.4, rel. 8, hkl 3 2 0
2θ 71.4, rel. 59, hkl 4 0 0
2θ 73.9, rel. 8, hkl 3 2 2
2θ 76.4, rel. 10, hkl 4 1 1
2θ 78.9, rel. 162, hkl 3 3 1


No. 13
# Te2C3
Theoretical powder diffractogram, a wavelength of 1.5418 Å. Input: the GGA-PBE geometry in Alexandria.
Peak positions follow from Bragg's law for the DFT cell and can differ from measured ones.

Structural model:
Cell: 17.7202 19.4586 3.6395 Å, 90.00 90.00 90.00°
Space group Fdd2 (No. 43)
Inequivalent atoms, fractional coordinates:
Te1 0.0820 0.3121 0.0000 (multiplicity 16)
C1 0.0000 0.0000 0.7508 (multiplicity 8)
C2 0.0670 0.0252 0.7503 (multiplicity 16)

Principal peaks in the range 10 to 80 degrees two-theta, by angle:
2θ 13.5, rel. 193, hkl 2 2 0
2θ 20.0, rel. 125, hkl 4 0 0
2θ 20.8, rel. 1000, hkl 2 4 0
2θ 22.0, rel. 372, hkl 4 2 0
2θ 25.4, rel. 350, hkl 1 1 1
2θ 28.6, rel. 430, hkl 1 3 1
2θ 29.2, rel. 382, hkl 3 1 1
2θ 31.7, rel. 200, hkl 6 2 0
2θ 34.1, rel. 245, hkl 1 5 1
2θ 37.0, rel. 122, hkl 0 8 0
2θ 38.1, rel. 155, hkl 5 3 1
2θ 43.8, rel. 207, hkl 3 7 1